# Dy15Tm2Mg2
Computed XRD peak list, Cu Kα (λ = 1.5418 Å). Input: a GGA-PBE-relaxed structure.
Intensities are scaled so that the largest is 100.

Cell: 8.5651 8.5651 8.5651 Å, 80.71 80.71 80.71°
Fractional positions:
Dy  0.0000  0.0000  0.5000
Dy  0.0000  0.2985  0.7015
Dy  0.0000  0.5000  0.0000
Dy  0.0000  0.7015  0.2985
Dy  0.1496  0.6372  0.6372
Dy  0.2985  0.0000  0.7015
Dy  0.2985  0.7015  0.0000
Dy  0.3628  0.3628  0.8504
Dy  0.3628  0.8504  0.3628
Dy  0.5000  0.0000  0.0000
Dy  0.6372  0.1496  0.6372
Dy  0.6372  0.6372  0.1496
Dy  0.7015  0.0000  0.2985
Dy  0.7015  0.2985  0.0000
Dy  0.8504  0.3628  0.3628
Tm  0.3246  0.3246  0.3246
Tm  0.6754  0.6754  0.6754
Mg  0.0929  0.0929  0.0929
Mg  0.9071  0.9071  0.9071

Peak list (10 most intense, 5 to 70 degrees two-theta, sorted by position)
15.98 deg, I 24
27.86 deg, I 12
27.97 deg, I 12
31.46 deg, I 27
32.10 deg, I 100
32.29 deg, I 30
36.03 deg, I 45
52.02 deg, I 14
57.55 deg, I 22
67.09 deg, I 11